Record 1
Diffraction record for LiMn3Al2H6O12. The PXRD pattern is theoretical, not measured: it uses a crystal structure in the Materials Project, relaxed with GGA+U and Cu Kα, 1.54184 Å.
Lines closer than 0.1° are merged.

Crystal structure
```
data_LiMn3Al2H6O12
_chemical_formula_sum 'Li2 Mn6 Al4 H12 O24'
_cell_length_a 5.8780
_cell_length_b 7.9515
_cell_length_c 9.6912
_cell_angle_alpha 79.07
_cell_angle_beta 89.77
_cell_angle_gamma 79.06
_symmetry_space_group_name_H-M 'P -1'
_symmetry_Int_Tables_number 2
loop_
_symmetry_equiv_pos_as_xyz
'x,y,z'
'-x,-y,-z'
loop_
_atom_site_label
_atom_site_type_symbol
_atom_site_fract_x
_atom_site_fract_y
_atom_site_fract_z
Li1 Li 0.1583 0.3447 0.0004
Mn1 Mn 0.0814 0.6643 0.4939
Mn2 Mn 0.2500 0.0002 0.4997
Mn3 Mn 0.4180 0.3355 0.5069
Al1 Al 0.0000 0.0000 0.0000
Al2 Al 0.3307 0.6598 0.0007
Al3 Al 0.5000 0.0000 0.0000
H1 H 0.0537 0.8297 0.7953
H2 H 0.1408 0.5167 0.2091
H3 H 0.2106 0.1532 0.7959
H4 H 0.2889 0.8364 0.2118
H5 H 0.3879 0.4982 0.7914
H6 H 0.4697 0.1755 0.1996
O1 O 0.0327 0.8550 0.5961
O2 O 0.0639 0.8117 0.8983
O3 O 0.1312 0.5458 0.1065
O4 O 0.1362 0.4645 0.4000
O5 O 0.1976 0.2192 0.6134
O6 O 0.2209 0.1166 0.8995
O7 O 0.2841 0.8691 0.1064
O8 O 0.3018 0.7808 0.3857
O9 O 0.3651 0.5352 0.6016
O10 O 0.3976 0.4791 0.8947
O11 O 0.4683 0.1454 0.4040
O12 O 0.4689 0.1914 0.0968
```

Peak list (10 most intense, 10° ≤ 2θ ≤ 80°, sorted by position)
2θ = 18.7°, intensity 100; 2θ = 36.6°, intensity 21; 2θ = 37.4°, intensity 18; 2θ = 37.5°, intensity 18; 2θ = 46.9°, intensity 16; 2θ = 47.9°, intensity 32; 2θ = 57.8°, intensity 9; 2θ = 62.0°, intensity 6; 2θ = 62.3°, intensity 6; 2θ = 63.3°, intensity 7

Record 2
Diffraction record for CoSb2O4. The PXRD pattern is theoretical, not measured: it uses a crystal structure in the Materials Project, relaxed with GGA+U and Cu Kα, 1.54184 Å.
Lines closer than 0.1° are merged.

Crystal structure
```
data_CoSb2O4
_chemical_formula_sum 'Co4 Sb8 O16'
_cell_length_a 8.5877
_cell_length_b 8.5877
_cell_length_c 6.0995
_cell_angle_alpha 90.00
_cell_angle_beta 90.00
_cell_angle_gamma 90.00
_symmetry_space_group_name_H-M 'P 42/m b c'
_symmetry_Int_Tables_number 135
_symmetry_space_group_name_Hall '-P 4c 2ab'
loop_
_atom_site_label
_atom_site_type_symbol
_atom_site_fract_x
_atom_site_fract_y
_atom_site_fract_z
Co1 Co 0.0000 0.5000 0.2500
Sb1 Sb 0.1662 0.1758 0.0000
O1 O 0.0965 0.3613 0.5000
O2 O 0.1774 0.6774 0.2500
```

Peak list (10 most intense, 10° ≤ 2θ ≤ 80°, sorted by position)
2θ = 20.7°, intensity 13; 2θ = 27.4°, intensity 100; 2θ = 29.4°, intensity 14; 2θ = 32.9°, intensity 11; 2θ = 33.0°, intensity 22; 2θ = 36.1°, intensity 23; 2θ = 46.0°, intensity 32; 2θ = 50.8°, intensity 18; 2θ = 54.4°, intensity 24; 2θ = 64.0°, intensity 12

What is the formula in the second record?
CoSb2O4